The following is a computed powder diffractogram of Rb3TbAs2O8. It was derived from DFT lattice parameters and positions (GGA-PBE), using Cu Kα.
Intensities are scaled so that the largest is 100.

Structural model:
```
Rb3TbAs2O8
1.0
6.010 0.000 0.000
-3.005 5.205 0.000
0.000 0.000 8.171
Rb Tb As O
3 1 2 8
direct
0.000 0.000 0.000
0.333 0.667 0.723
0.667 0.333 0.277
0.000 0.000 0.500
0.333 0.667 0.262
0.667 0.333 0.738
0.177 0.355 0.338
0.177 0.823 0.338
0.333 0.667 0.056
0.355 0.177 0.662
0.645 0.823 0.338
0.667 0.333 0.944
0.823 0.177 0.662
0.823 0.645 0.662
```

Top 6 peaks for 2θ = 5–70°, sorted by position:
d = 3.214 Å, 27.76 deg, rel. 100; d = 3.005 Å, 29.73 deg, rel. 93; d = 2.195 Å, 41.12 deg, rel. 43; d = 1.773 Å, 51.56 deg, rel. 34; d = 1.735 Å, 52.76 deg, rel. 18; d = 1.689 Å, 54.30 deg, rel. 31



The following is a computed powder diffractogram of DyZrGe2. It was derived from DFT lattice parameters and positions (GGA-PBE), using Cu Kα.
Intensities are scaled so that the largest is 100.

Structural model:
```
DyZrGe2
1.0
1.971 1.138 6.735
-1.971 1.138 6.735
0.000 -2.276 6.735
Dy Zr Ge
1 1 2
direct
0.000 0.000 0.000
0.500 0.500 0.500
0.244 0.244 0.244
0.756 0.756 0.756
```

Top 6 peaks for 2θ = 5–70°, sorted by position:
d = 3.234 Å, 27.58 deg, rel. 9; d = 2.829 Å, 31.63 deg, rel. 100; d = 2.030 Å, 44.63 deg, rel. 37; d = 1.971 Å, 46.05 deg, rel. 35; d = 1.617 Å, 56.94 deg, rel. 18; d = 1.414 Å, 66.06 deg, rel. 13



The following is a computed powder diffractogram of YEr8Sc3. It was derived from DFT lattice parameters and positions (GGA-PBE), using Cu Kα.
Intensities are scaled so that the largest is 100.

Structural model:
```
YEr8Sc3
1.0
-4.179 4.179 5.784
4.179 -4.179 5.784
4.179 4.179 -5.784
Y Er Sc
1 8 3
direct
0.000 0.000 0.000
0.137 0.137 0.728
0.226 0.691 0.000
0.309 0.309 0.536
0.409 0.409 0.272
0.591 0.863 0.000
0.691 0.226 0.000
0.774 0.774 0.464
0.863 0.591 0.000
0.250 0.750 0.500
0.500 0.500 0.000
0.750 0.250 0.500
```

Top 6 peaks for 2θ = 5–70°, sorted by position:
d = 3.556 Å, 25.04 deg, rel. 100; d = 2.955 Å, 30.25 deg, rel. 53; d = 2.684 Å, 33.39 deg, rel. 68; d = 2.598 Å, 34.53 deg, rel. 67; d = 2.404 Å, 37.41 deg, rel. 73; d = 1.965 Å, 46.20 deg, rel. 61



The following is a computed powder diffractogram of CdHg2As. It was derived from DFT lattice parameters and positions (GGA-PBE), using Cu Kα.
Intensities are scaled so that the largest is 100.

Structural model:
```
CdHg2As
1.0
3.084 0.000 0.000
0.000 5.357 0.000
0.000 0.000 5.609
Cd Hg As
1 2 1
direct
0.000 0.000 0.000
0.000 0.500 0.500
0.500 0.500 0.000
0.500 0.000 0.500
```

Top 6 peaks for 2θ = 5–70°, sorted by position:
d = 2.804 Å, 31.91 deg, rel. 38; d = 2.678 Å, 33.46 deg, rel. 34; d = 2.413 Å, 37.26 deg, rel. 100; d = 1.937 Å, 46.91 deg, rel. 26; d = 1.532 Å, 60.42 deg, rel. 24; d = 1.490 Å, 62.32 deg, rel. 22